# 1
Diffraction record for MgMn4O8. The X-ray diffraction stick pattern is theoretical, not measured: it uses a structure optimized by DFT (PBE+U) and Cu Kα X-rays.
No peak broadening, texture or thermal motion is included.

Peak list (8 most intense, 10° ≤ 2θ ≤ 90°, sorted by position)
| two_theta | d (Å) | I (rel.) | h k l |
| --- | --- | --- | --- |
| 18.00 | 4.927 | 58 | 1 0 0 |
| 18.18 | 4.879 | 100 | 0 1 1 |
| 18.34 | 4.837 | 43 | 1 0 -2 |
| 34.87 | 2.573 | 42 | 2 1 -3 |
| 41.97 | 2.152 | 82 | 2 2 -2 |
| 44.40 | 2.040 | 35 | 0 0 4 |
| 60.86 | 1.522 | 29 | 4 0 -4 |
| 62.27 | 1.491 | 27 | 2 2 2 |

Cell and atoms:
```
data_MgMn4O8
_chemical_formula_sum 'Mg2 Mn8 O16'
_symmetry_space_group_name_H-M 'P 1 c 1'
_symmetry_Int_Tables_number 7
_symmetry_space_group_name_Hall 'P -2yc'
_cell_length_a 6.0915
_cell_length_b 6.0858
_cell_length_c 10.0910
_cell_angle_alpha 90.00
_cell_angle_beta 126.02
_cell_angle_gamma 90.00
loop_
_atom_site_label
_atom_site_type_symbol
_atom_site_fract_x
_atom_site_fract_y
_atom_site_fract_z
Mg1 Mg 0.0000 0.2493 0.0000
Mn1 Mn 0.1326 0.2384 0.3767
Mn2 Mn 0.6236 0.0010 0.6198
Mn3 Mn 0.6273 0.2435 0.3780
Mn4 Mn 0.6269 0.4951 0.6245
O1 O 0.3913 0.2220 0.6075
O2 O 0.4113 0.4581 0.3905
O3 O 0.4127 0.2417 0.1334
O4 O 0.4188 0.0208 0.3888
O5 O 0.8307 0.2309 0.6121
O6 O 0.8531 0.0225 0.3614
O7 O 0.8525 0.4724 0.3649
O8 O 0.8682 0.2371 0.1390
```

---

# 2
Diffraction record for LiFe4P4O16. The X-ray diffraction stick pattern is theoretical, not measured: it uses a structure optimized by DFT (PBE+U) and Cu Kα X-rays.
No peak broadening, texture or thermal motion is included.

Peak list (8 most intense, 10° ≤ 2θ ≤ 90°, sorted by position)
| two_theta | d (Å) | I (rel.) | h k l |
| --- | --- | --- | --- |
| 17.53 | 5.059 | 91 | 0 0 2 |
| 20.11 | 4.415 | 53 | 1 0 -1 |
| 20.37 | 4.360 | 68 | 1 0 1 |
| 25.07 | 3.552 | 57 | 1 1 -1 |
| 25.21 | 3.532 | 39 | 1 -1 1 |
| 29.88 | 2.990 | 100 | 0 2 0 |
| 35.47 | 2.531 | 73 | 1 1 -3 |
| 56.72 | 1.623 | 44 | 0 1 6 |

Cell and atoms:
```
data_LiFe4P4O16
_chemical_formula_sum 'Li1 Fe4 P4 O16'
_symmetry_space_group_name_H-M 'P 1'
_symmetry_Int_Tables_number 1
_symmetry_space_group_name_Hall 'P 1'
_cell_length_a 4.8698
_cell_length_b 5.9806
_cell_length_c 10.1195
_cell_angle_alpha 90.17
_cell_angle_beta 90.92
_cell_angle_gamma 90.23
loop_
_atom_site_label
_atom_site_type_symbol
_atom_site_fract_x
_atom_site_fract_y
_atom_site_fract_z
Li1 Li 0.0000 0.0000 0.0000
Fe1 Fe 0.0386 0.2591 0.2851
Fe2 Fe 0.4720 0.2625 0.7758
Fe3 Fe 0.5278 0.7547 0.2295
Fe4 Fe 0.9584 0.7565 0.7232
P1 P 0.0892 0.7593 0.4045
P2 P 0.4312 0.7619 0.9099
P3 P 0.5833 0.2567 0.1018
P4 P 0.9046 0.2562 0.6024
O1 O 0.1610 0.7588 0.5488
O2 O 0.2137 0.2553 0.6296
O3 O 0.2288 0.5571 0.3268
O4 O 0.2334 0.9592 0.3274
O5 O 0.2714 0.2442 0.1214
O6 O 0.2780 0.9693 0.8461
O7 O 0.3019 0.5568 0.8361
O8 O 0.3395 0.7617 0.0575
O9 O 0.6656 0.2555 0.9565
O10 O 0.7198 0.4556 0.1807
O11 O 0.7410 0.0542 0.1710
O12 O 0.7430 0.7774 0.9021
O13 O 0.7526 0.0580 0.6716
O14 O 0.7574 0.4558 0.6725
O15 O 0.7794 0.7608 0.3761
O16 O 0.8541 0.2573 0.4512
```